The following is a calculated powder XRD pattern of Pm2BSe5. It was derived from a crystal structure in Alexandria, relaxed with GGA-PBE, using Cu Kα X-rays.

Structure:
a b c (Å): 5.7855 6.2145 6.2148
angles (deg): 97.30 106.66 106.59
Sites, in units of the cell vectors:
1 Pm 0.0000 0.0000 0.0000
2 Pm 0.9997 0.4773 0.5241
3 B 0.2905 0.1368 0.6601
4 Se 0.3647 0.4129 0.9355
5 Se 0.4130 0.2845 0.4203
6 Se 0.4140 0.8974 0.8079
7 Se 0.8918 0.9559 0.4795
8 Se 0.8991 0.4688 0.9905

Main lines, low angle first (2θ = 15–90°):
17.00°, I = 46, hkl 1 0 0; 29.75°, I = 64, hkl 1 0 -2; 30.84°, I = 100, hkl 0 2 0; 32.32°, I = 26, hkl -2 1 1; 34.40°, I = 44, hkl 2 0 0; 37.77°, I = 67, hkl 2 0 -2; 38.60°, I = 33, hkl 0 2 -2; 39.60°, I = 24, hkl 2 -1 1; 40.40°, I = 43, hkl 1 2 0; 44.29°, I = 24, hkl -1 2 2